[1]
The following is a computed powder X-ray diffraction pattern of PrNdP2Ir2O2. It was derived from a cell relaxed with PBE, using Cu Ka.
Intensities are scaled so that the largest is 100.

Top 8 peaks for 2θ = 10–90°, by angle:
2θ = 10.56°, intensity 62
2θ = 21.22°, intensity 34
2θ = 30.88°, intensity 59
2θ = 32.06°, intensity 35
2θ = 33.38°, intensity 100
2θ = 38.35°, intensity 74
2θ = 45.25°, intensity 52
2θ = 54.49°, intensity 52

a b c (Å): 4.008 4.008 8.374
angles (deg): 90.00 90.00 90.00
Positions (direct):
Pr: 0.000 0.000 0.000
Nd: 0.500 0.500 0.289
P: 0.000 0.000 0.490
P: 0.500 0.500 0.800
Ir: 0.000 0.500 0.644
Ir: 0.500 0.000 0.644
O: 0.000 0.500 0.147
O: 0.500 0.000 0.147


[2]
The following is a computed powder X-ray diffraction pattern of InCuTeS. It was derived from a cell relaxed with PBE, using Cu Ka.
Intensities are scaled so that the largest is 100.

Top 8 peaks for 2θ = 10–90°, by angle:
2θ = 26.05°, intensity 100
2θ = 27.10°, intensity 16
2θ = 34.70°, intensity 21
2θ = 41.00°, intensity 10
2θ = 43.18°, intensity 67
2θ = 51.11°, intensity 35
2θ = 69.09°, intensity 12
2θ = 69.63°, intensity 9

a b c (Å): 8.375 8.378 7.257
angles (deg): 90.00 125.17 90.00
Positions (direct):
In: 0.000 0.141 0.000
In: 0.000 0.859 0.500
In: 0.500 0.359 0.500
In: 0.500 0.641 0.000
Cu: 0.043 0.401 0.501
Cu: 0.043 0.599 0.001
Cu: 0.543 0.099 0.001
Cu: 0.543 0.901 0.501
Te: 0.164 0.142 0.751
Te: 0.164 0.858 0.251
Te: 0.664 0.358 0.251
Te: 0.664 0.642 0.751
S: 0.129 0.390 0.249
S: 0.129 0.610 0.749
S: 0.629 0.110 0.749
S: 0.629 0.890 0.249


[3]
The following is a computed powder X-ray diffraction pattern of Lu2Ga8Co. It was derived from a cell relaxed with PBE, using Cu Ka.
Intensities are scaled so that the largest is 100.

Top 8 peaks for 2θ = 10–90°, by angle:
2θ = 21.22°, intensity 25
2θ = 34.43°, intensity 52
2θ = 39.15°, intensity 100
2θ = 41.13°, intensity 22
2θ = 43.22°, intensity 57
2θ = 61.19°, intensity 27
2θ = 62.78°, intensity 18
2θ = 76.54°, intensity 41

a b c (Å): 4.186 4.186 10.973
angles (deg): 90.00 90.00 90.00
Positions (direct):
Lu: 0.000 0.000 0.194
Lu: 0.000 0.000 0.806
Ga: 0.000 0.500 0.000
Ga: 0.000 0.500 0.382
Ga: 0.000 0.500 0.618
Ga: 0.500 0.000 0.000
Ga: 0.500 0.000 0.382
Ga: 0.500 0.000 0.618
Ga: 0.500 0.500 0.196
Ga: 0.500 0.500 0.804
Co: 0.000 0.000 0.500


[4]
The following is a computed powder X-ray diffraction pattern of CsTmSbTe3. It was derived from a cell relaxed with PBE, using Cu Ka.
Intensities are scaled so that the largest is 100.

Top 8 peaks for 2θ = 10–90°, by angle:
2θ = 23.81°, intensity 100
2θ = 24.88°, intensity 46
2θ = 28.72°, intensity 86
2θ = 31.21°, intensity 74
2θ = 37.46°, intensity 44
2θ = 37.64°, intensity 60
2θ = 42.93°, intensity 61
2θ = 47.88°, intensity 42

a b c (Å): 9.246 9.246 12.432
angles (deg): 90.00 90.00 149.90
Positions (direct):
Cs: 0.234 0.766 0.750
Cs: 0.766 0.234 0.250
Tm: 0.500 0.500 0.000
Tm: 0.500 0.500 0.500
Sb: 0.091 0.909 0.250
Sb: 0.909 0.091 0.750
Te: 0.112 0.888 0.003
Te: 0.112 0.888 0.497
Te: 0.497 0.503 0.750
Te: 0.503 0.497 0.250
Te: 0.888 0.112 0.503
Te: 0.888 0.112 0.997


[5]
The following is a computed powder X-ray diffraction pattern of Ba2Ni3. It was derived from a cell relaxed with PBE, using Cu Ka.
Intensities are scaled so that the largest is 100.

Top 8 peaks for 2θ = 10–90°, by angle:
2θ = 24.69°, intensity 26
2θ = 26.64°, intensity 100
2θ = 29.87°, intensity 29
2θ = 31.84°, intensity 54
2θ = 39.13°, intensity 67
2θ = 43.47°, intensity 70
2θ = 53.64°, intensity 31
2θ = 60.69°, intensity 28

a b c (Å): 4.163 4.163 8.973
angles (deg): 90.00 90.00 120.00
Positions (direct):
Ba: 0.000 0.000 0.000
Ba: 0.333 0.667 0.558
Ni: 0.000 0.000 0.317
Ni: 0.333 0.667 0.243
Ni: 0.667 0.333 0.277


[6]
The following is a computed powder X-ray diffraction pattern of YErSi2W2C. It was derived from a cell relaxed with PBE, using Cu Ka.
Intensities are scaled so that the largest is 100.

Top 8 peaks for 2θ = 10–90°, by angle:
2θ = 15.28°, intensity 49
2θ = 31.34°, intensity 50
2θ = 33.76°, intensity 93
2θ = 35.38°, intensity 100
2θ = 37.99°, intensity 24
2θ = 40.22°, intensity 29
2θ = 47.48°, intensity 29
2θ = 63.94°, intensity 20

a b c (Å): 11.080 3.830 7.104
angles (deg): 90.00 125.31 90.00
Positions (direct):
Y: 0.000 0.000 0.000
Y: 0.500 0.500 0.000
Er: 0.351 0.500 0.408
Er: 0.851 0.000 0.408
Si: 0.056 0.500 0.364
Si: 0.293 0.000 0.043
Si: 0.556 0.000 0.364
Si: 0.793 0.500 0.043
W: 0.132 0.500 0.787
W: 0.217 0.000 0.618
W: 0.632 0.000 0.787
W: 0.717 0.500 0.618
C: 0.424 0.000 0.700
C: 0.924 0.500 0.700


[7]
The following is a computed powder X-ray diffraction pattern of Cu2TcPt. It was derived from a cell relaxed with PBE, using Cu Ka.
Intensities are scaled so that the largest is 100.

Top 8 peaks for 2θ = 10–90°, by angle:
2θ = 25.54°, intensity 21
2θ = 29.57°, intensity 6
2θ = 42.31°, intensity 100
2θ = 50.07°, intensity 11
2θ = 61.38°, intensity 16
2θ = 67.59°, intensity 5
2θ = 77.38°, intensity 32
2θ = 83.06°, intensity 4

a b c (Å): 6.042 6.042 6.042
angles (deg): 90.00 90.00 90.00
Positions (direct):
Cu: 0.000 0.000 0.000
Cu: 0.000 0.500 0.500
Cu: 0.250 0.250 0.250
Cu: 0.250 0.750 0.750
Cu: 0.500 0.000 0.500
Cu: 0.500 0.500 0.000
Cu: 0.750 0.250 0.750
Cu: 0.750 0.750 0.250
Tc: 0.250 0.250 0.750
Tc: 0.250 0.750 0.250
Tc: 0.750 0.250 0.250
Tc: 0.750 0.750 0.750
Pt: 0.000 0.000 0.500
Pt: 0.000 0.500 0.000
Pt: 0.500 0.000 0.000
Pt: 0.500 0.500 0.500


[8]
The following is a computed powder X-ray diffraction pattern of PrNdCuSi3. It was derived from a cell relaxed with PBE, using Cu Ka.
Intensities are scaled so that the largest is 100.

Top 8 peaks for 2θ = 10–90°, by angle:
2θ = 25.30°, intensity 32
2θ = 32.94°, intensity 100
2θ = 42.20°, intensity 12
2θ = 44.59°, intensity 31
2θ = 49.85°, intensity 10
2θ = 56.54°, intensity 21
2θ = 63.07°, intensity 22
2θ = 74.72°, intensity 18

a b c (Å): 8.238 8.127 5.905
angles (deg): 69.85 67.85 42.30
Positions (direct):
Pr: 0.243 0.757 0.243
Pr: 0.757 0.243 0.757
Nd: 0.250 0.250 0.250
Nd: 0.750 0.750 0.750
Cu: 0.333 0.333 0.667
Cu: 0.667 0.667 0.333
Si: 0.169 0.169 0.831
Si: 0.170 0.660 0.830
Si: 0.340 0.830 0.660
Si: 0.660 0.170 0.340
Si: 0.830 0.340 0.170
Si: 0.831 0.831 0.169